# AcAgGePd6
Theoretical X-ray powder pattern, copper Kα. Input: a structure optimized by DFT (GGA-PBE).

Structural model:
abc: 6.562 9.593 11.513
angles: 90.00 90.00 90.00
Space group Imma (No. 74)
Inequivalent atoms, fractional coordinates:
Ac 0.000 0.250 0.180 [4 per cell]
Ag 0.250 0.250 0.750 [4 per cell]
Ge 0.000 0.000 0.500 [4 per cell]
Pd 0.000 0.250 0.439 [4 per cell]
Pd 0.000 0.250 0.939 [4 per cell]
Pd 0.214 0.007 0.872 [16 per cell]

Top 12 peaks for 2θ from 15° to 90°, by angle:
2θ 24.20, rel. 24
2θ 26.91, rel. 55
2θ 29.81, rel. 68
2θ 33.08, rel. 100
2θ 35.31, rel. 78
2θ 36.40, rel. 36
2θ 37.50, rel. 97
2θ 44.55, rel. 41
2θ 46.02, rel. 71
2θ 46.30, rel. 25
2θ 46.76, rel. 25
2θ 56.08, rel. 36

---

# AgB2Pd8
Theoretical X-ray powder pattern, copper Kα. Input: a structure optimized by DFT (GGA-PBE).

Structural model:
abc: 7.125 10.399 4.321
angles: 90.00 102.95 90.00
Space group C2/m (No. 12)
Inequivalent atoms, fractional coordinates:
Ag 0.000 0.000 0.000 [2 per cell]
B 0.000 0.322 0.500 [4 per cell]
Pd 0.000 0.259 0.000 [4 per cell]
Pd 0.108 0.500 0.791 [4 per cell]
Pd 0.199 0.134 0.588 [8 per cell]

Top 12 peaks for 2θ from 15° to 90°, by angle:
2θ 34.17, rel. 92
2θ 37.06, rel. 100
2θ 40.79, rel. 91
2θ 41.00, rel. 61
2θ 42.90, rel. 59
2θ 43.49, rel. 67
2θ 47.22, rel. 33
2θ 55.11, rel. 16
2θ 67.38, rel. 21
2θ 72.12, rel. 28
2θ 76.87, rel. 16
2θ 84.58, rel. 16

---

# Tm3HfPb5
Theoretical X-ray powder pattern, copper Kα. Input: a structure optimized by DFT (GGA-PBE).

Structural model:
abc: 9.4095 9.4095 6.2867
angles: 90.00 90.00 120.00
Space group P6_3/mcm (No. 193)
Inequivalent atoms, fractional coordinates:
Tm 0.0000 0.3830 0.2500 [6 per cell]
Hf 0.0000 0.0000 0.0000 [2 per cell]
Pb 0.0000 0.2785 0.7500 [6 per cell]
Pb 0.3333 0.6667 0.0000 [4 per cell]

Top 12 peaks for 2θ from 15° to 90°, by angle:
2θ 32.37, rel. 49
2θ 32.98, rel. 88
2θ 34.31, rel. 100
2θ 42.50, rel. 14
2θ 48.33, rel. 30
2θ 50.96, rel. 11
2θ 52.84, rel. 13
2θ 58.75, rel. 9
2θ 59.75, rel. 21
2θ 62.05, rel. 11
2θ 65.48, rel. 11
2θ 69.04, rel. 22

---

# Li3ErCl6
Theoretical X-ray powder pattern, copper Kα. Input: a structure optimized by DFT (GGA-PBE).

Structural model:
abc: 11.1479 11.1479 13.0692
angles: 90.00 90.00 120.00
Space group R-3 (No. 148, hexagonal axes)
Inequivalent atoms, fractional coordinates:
Li 0.0483 0.7801 0.2058 [18 per cell]
Er 0.0000 0.0000 0.0000 [3 per cell]
Er 0.0000 0.0000 0.5000 [3 per cell]
Cl 0.0125 0.8221 0.8765 [18 per cell]
Cl 0.0142 0.8117 0.3900 [18 per cell]

Top 12 peaks for 2θ from 15° to 90°, by angle:
2θ 15.90, rel. 94
2θ 16.38, rel. 100
2θ 22.90, rel. 54
2θ 28.01, rel. 78
2θ 33.11, rel. 21
2θ 36.26, rel. 43
2θ 36.93, rel. 61
2θ 42.93, rel. 42
2θ 43.71, rel. 22
2θ 44.67, rel. 19
2θ 53.38, rel. 18
2θ 57.23, rel. 20

---

# PmSm5Dy12
Theoretical X-ray powder pattern, copper Kα. Input: a structure optimized by DFT (GGA-PBE).

Structural model:
abc: 11.310 17.346 5.970
angles: 90.00 90.00 90.00
Space group C2/m (No. 12)
Inequivalent atoms, fractional coordinates:
Pm 0.000 0.000 0.000 [2 per cell]
Sm 0.000 0.167 0.500 [4 per cell]
Sm 0.000 0.334 0.000 [4 per cell]
Sm 0.000 0.500 0.500 [2 per cell]
Dy 0.177 0.000 0.553 [4 per cell]
Dy 0.177 0.167 0.947 [8 per cell]
Dy 0.177 0.333 0.553 [8 per cell]
Dy 0.177 0.500 0.947 [4 per cell]

Top 12 peaks for 2θ from 15° to 90°, by angle:
2θ 29.93, rel. 24
2θ 30.93, rel. 30
2θ 32.06, rel. 100
2θ 34.74, rel. 13
2θ 43.58, rel. 17
2θ 48.28, rel. 8
2θ 54.50, rel. 12
2θ 55.73, rel. 21
2θ 57.85, rel. 7
2θ 58.45, rel. 9
2θ 67.05, rel. 9
2θ 72.73, rel. 9

---

# ScPa2S8
Theoretical X-ray powder pattern, copper Kα. Input: a structure optimized by DFT (GGA-PBE).

Structural model:
abc: 8.1141 8.1141 5.1814
angles: 90.00 90.00 120.00
Space group P-3m1 (No. 164)
Inequivalent atoms, fractional coordinates:
Sc 0.0000 0.0000 0.0000 [1 per cell]
Pa 0.3333 0.6667 0.7369 [2 per cell]
S 0.1504 0.3009 0.7221 [6 per cell]
S 0.3333 0.6667 0.2376 [2 per cell]

Top 12 peaks for 2θ from 15° to 90°, by angle:
2θ 21.31, rel. 100
2θ 21.91, rel. 83
2θ 25.35, rel. 23
2θ 34.62, rel. 15
2θ 38.07, rel. 56
2θ 38.43, rel. 19
2θ 41.35, rel. 22
2θ 43.40, rel. 17
2θ 44.67, rel. 27
2θ 49.13, rel. 17
2θ 50.00, rel. 20
2θ 57.72, rel. 19